(1)
This entry pairs a crystal structure of Ba2NaIr2 with its calculated X-ray powder pattern. Radiation: copper Kα. Structure: a crystal structure in Alexandria, relaxed with PBE.
Lines closer than 0.1° are merged.

Main lines, by angle (10° ≤ 2θ ≤ 90°):
2θ = 11.0°, d = 8.010 Å, intensity 100, hkl 0 0 1; 2θ = 21.6°, d = 4.113 Å, intensity 20, hkl 0 1 1; 2θ = 27.5°, d = 3.239 Å, intensity 19, hkl 1 1 -1; 2θ = 29.1°, d = 3.073 Å, intensity 42, hkl 0 1 2; 2θ = 31.8°, d = 2.811 Å, intensity 33, hkl 1 1 1; 2θ = 37.5°, d = 2.397 Å, intensity 15, hkl 0 2 0; 2θ = 39.2°, d = 2.296 Å, intensity 10, hkl 0 2 1; 2θ = 39.5°, d = 2.284 Å, intensity 13, hkl 2 0 -1; 2θ = 55.6°, d = 1.653 Å, intensity 10, hkl 2 2 -1; 2θ = 59.4°, d = 1.556 Å, intensity 12, hkl 1 2 -4

Structure:
```
data_Ba2NaIr2
_chemical_formula_sum 'Ba2 Na1 Ir2'
_cell_length_a 4.568
_cell_length_b 4.793
_cell_length_c 8.323
_cell_angle_alpha 90.00
_cell_angle_beta 105.75
_cell_angle_gamma 90.00
_space_group_name_H-M_alt 'P 1 2/m 1'
_space_group_IT_number 10
loop_
_space_group_symop_operation_xyz
'x,y,z'
'-x,-y,-z'
'-x,y,-z'
'x,-y,z'
loop_
_atom_site_label
_atom_site_type_symbol
_atom_site_fract_x
_atom_site_fract_y
_atom_site_fract_z
Ba1 Ba 0.146 0.000 0.291
Na1 Na 0.500 0.500 0.000
Ir1 Ir 0.275 0.500 0.551
```



(2)
This entry pairs a crystal structure of Ba14Na6Ir3 with its calculated X-ray powder pattern. Radiation: copper Kα. Structure: a crystal structure in Alexandria, relaxed with PBE.
Lines closer than 0.1° are merged.

Main lines, by angle (10° ≤ 2θ ≤ 90°):
2θ = 13.5°, d = 6.541 Å, intensity 59, hkl 1 1 0; 2θ = 13.7°, d = 6.476 Å, intensity 100, hkl 0 2 1; 2θ = 19.3°, d = 4.602 Å, intensity 57, hkl 1 2 2; 2θ = 23.7°, d = 3.751 Å, intensity 63, hkl 1 2 3; 2θ = 26.3°, d = 3.391 Å, intensity 90, hkl 1 0 -3; 2θ = 27.3°, d = 3.271 Å, intensity 66, hkl 2 2 2; 2θ = 30.8°, d = 2.902 Å, intensity 48, hkl 1 4 3; 2θ = 36.7°, d = 2.449 Å, intensity 41, hkl 0 5 4; 2θ = 39.7°, d = 2.268 Å, intensity 47, hkl 3 3 1; 2θ = 41.8°, d = 2.159 Å, intensity 80, hkl 0 6 3

Structure:
```
data_Ba14Na6Ir3
_chemical_formula_sum 'Ba14 Na6 Ir3'
_cell_length_a 8.052
_cell_length_b 12.951
_cell_length_c 12.951
_cell_angle_alpha 60.01
_cell_angle_beta 90.00
_cell_angle_gamma 90.00
_space_group_name_H-M_alt 'P 1'
_space_group_IT_number 1
loop_
_space_group_symop_operation_xyz
'x,y,z'
loop_
_atom_site_label
_atom_site_type_symbol
_atom_site_fract_x
_atom_site_fract_y
_atom_site_fract_z
Ba1 Ba 0.000 0.000 0.000
Ba2 Ba 0.000 0.000 0.335
Ba3 Ba 0.000 0.665 0.336
Ba4 Ba 0.269 0.339 0.675
Ba5 Ba 0.269 0.340 0.322
Ba6 Ba 0.269 0.986 0.674
Ba7 Ba 0.329 0.555 0.890
Ba8 Ba 0.547 0.112 0.112
Ba9 Ba 0.547 0.776 0.112
Ba10 Ba 0.547 0.777 0.447
Ba11 Ba 0.779 0.438 0.125
Ba12 Ba 0.779 0.438 0.773
Ba13 Ba 0.779 0.789 0.773
Ba14 Ba 0.815 0.221 0.557
Na1 Na 0.080 0.289 0.023
Na2 Na 0.080 0.688 0.023
Na3 Na 0.080 0.688 0.625
Na4 Na 0.562 0.089 0.821
Na5 Na 0.563 0.090 0.424
Na6 Na 0.563 0.486 0.426
Ir1 Ir 0.446 0.222 0.557
Ir2 Ir 0.774 0.888 0.224
Ir3 Ir 0.963 0.555 0.891
```



(3)
This entry pairs a crystal structure of Ba6NaIr with its calculated X-ray powder pattern. Radiation: copper Kα. Structure: a crystal structure in Alexandria, relaxed with PBE.
Lines closer than 0.1° are merged.

Main lines, by angle (10° ≤ 2θ ≤ 90°):
2θ = 11.7°, d = 7.560 Å, intensity 76, hkl 0 0 1; 2θ = 18.8°, d = 4.712 Å, intensity 60, hkl 0 2 1; 2θ = 24.0°, d = 3.712 Å, intensity 30, hkl 2 2 -1; 2θ = 24.4°, d = 3.655 Å, intensity 20, hkl 2 0 1; 2θ = 27.9°, d = 3.202 Å, intensity 100, hkl 0 2 2; 2θ = 32.0°, d = 2.801 Å, intensity 18, hkl 1 3 -2; 2θ = 35.6°, d = 2.520 Å, intensity 36, hkl 4 0 -1; 2θ = 40.1°, d = 2.251 Å, intensity 39, hkl 3 3 1; 2θ = 45.1°, d = 2.010 Å, intensity 18, hkl 3 3 -3; 2θ = 46.6°, d = 1.949 Å, intensity 13, hkl 3 5 -1

Structure:
```
data_Ba6NaIr
_chemical_formula_sum 'Ba12 Na2 Ir2'
_cell_length_a 10.103
_cell_length_b 12.027
_cell_length_c 7.870
_cell_angle_alpha 90.00
_cell_angle_beta 105.98
_cell_angle_gamma 90.00
_space_group_name_H-M_alt 'C 1 2/m 1'
_space_group_IT_number 12
loop_
_space_group_symop_operation_xyz
'x,y,z'
'-x,-y,-z'
'-x,y,-z'
'x,-y,z'
'x+1/2,y+1/2,z'
'-x+1/2,-y+1/2,-z'
'-x+1/2,y+1/2,-z'
'x+1/2,-y+1/2,z'
loop_
_atom_site_label
_atom_site_type_symbol
_atom_site_fract_x
_atom_site_fract_y
_atom_site_fract_z
Ba1 Ba 0.099 0.179 0.278
Ba2 Ba 0.222 0.500 0.078
Na1 Na 0.000 0.500 0.500
Ir1 Ir 0.000 0.000 0.000
```



(4)
This entry pairs a crystal structure of Ba14NaIr with its calculated X-ray powder pattern. Radiation: copper Kα. Structure: a crystal structure in Alexandria, relaxed with PBE.
Lines closer than 0.1° are merged.

Main lines, by angle (10° ≤ 2θ ≤ 90°):
2θ = 10.3°, d = 8.570 Å, intensity 14, hkl 0 1 1; 2θ = 12.6°, d = 7.019 Å, intensity 26, hkl 0 0 2; 2θ = 22.0°, d = 4.047 Å, intensity 29, hkl 3 0 0; 2θ = 25.3°, d = 3.517 Å, intensity 62, hkl 0 0 4; 2θ = 25.4°, d = 3.503 Å, intensity 100, hkl 2 2 2; 2θ = 26.6°, d = 3.353 Å, intensity 13, hkl 1 3 1; 2θ = 29.3°, d = 3.043 Å, intensity 20, hkl 4 0 0; 2θ = 30.3°, d = 2.949 Å, intensity 25, hkl 3 2 2; 2θ = 33.7°, d = 2.656 Å, intensity 16, hkl 3 0 4; 2θ = 44.7°, d = 2.029 Å, intensity 24, hkl 6 0 0

Structure:
```
data_Ba14NaIr
_chemical_formula_sum 'Ba28 Na2 Ir2'
_cell_length_a 12.167
_cell_length_b 10.800
_cell_length_c 14.082
_cell_angle_alpha 90.00
_cell_angle_beta 90.00
_cell_angle_gamma 90.00
_space_group_name_H-M_alt 'A m m 2'
_space_group_IT_number 38
loop_
_space_group_symop_operation_xyz
'x,y,z'
'-x,-y,z'
'-x,y,z'
'x,-y,z'
'x,y+1/2,z+1/2'
'-x,-y+1/2,z+1/2'
'-x,y+1/2,z+1/2'
'x,-y+1/2,z+1/2'
loop_
_atom_site_label
_atom_site_type_symbol
_atom_site_fract_x
_atom_site_fract_y
_atom_site_fract_z
Ba1 Ba 0.000 0.000 0.000
Ba2 Ba 0.000 0.000 0.470
Ba3 Ba 0.000 0.213 0.732
Ba4 Ba 0.230 0.000 0.234
Ba5 Ba 0.295 0.000 0.795
Ba6 Ba 0.320 0.184 0.527
Ba7 Ba 0.500 0.228 0.262
Na1 Na 0.500 0.000 0.026
Ir1 Ir 0.500 0.000 0.653
```



(5)
This entry pairs a crystal structure of Ba7Na2Ir2 with its calculated X-ray powder pattern. Radiation: copper Kα. Structure: a crystal structure in Alexandria, relaxed with PBE.
Lines closer than 0.1° are merged.

Main lines, by angle (10° ≤ 2θ ≤ 90°):
2θ = 10.4°, d = 8.508 Å, intensity 100, hkl 0 0 1; 2θ = 13.8°, d = 6.422 Å, intensity 26, hkl 0 2 0; 2θ = 21.4°, d = 4.154 Å, intensity 32, hkl 2 0 1; 2θ = 23.3°, d = 3.824 Å, intensity 33, hkl 2 2 0; 2θ = 27.8°, d = 3.211 Å, intensity 41, hkl 0 4 0; 2θ = 28.1°, d = 3.172 Å, intensity 34, hkl 2 0 2; 2θ = 31.1°, d = 2.877 Å, intensity 42, hkl 1 3 2; 2θ = 31.5°, d = 2.844 Å, intensity 84, hkl 2 2 2; 2θ = 37.8°, d = 2.380 Å, intensity 28, hkl 4 0 0; 2θ = 39.3°, d = 2.294 Å, intensity 25, hkl 4 0 1

Structure:
```
data_Ba7Na2Ir2
_chemical_formula_sum 'Ba14 Na4 Ir4'
_cell_length_a 9.520
_cell_length_b 12.843
_cell_length_c 8.508
_cell_angle_alpha 90.00
_cell_angle_beta 90.00
_cell_angle_gamma 90.00
_space_group_name_H-M_alt 'C m m m'
_space_group_IT_number 65
_space_group_name_Hall '-C 2 2'
loop_
_atom_site_label
_atom_site_type_symbol
_atom_site_fract_x
_atom_site_fract_y
_atom_site_fract_z
Ba1 Ba 0.000 0.000 0.000
Ba2 Ba 0.000 0.500 0.216
Ba3 Ba 0.250 0.250 0.229
Na1 Na 0.163 0.000 0.500
Ir1 Ir 0.000 0.293 0.000
```



(6)
This entry pairs a crystal structure of Ba5Na2Ir with its calculated X-ray powder pattern. Radiation: copper Kα. Structure: a crystal structure in Alexandria, relaxed with PBE.
Lines closer than 0.1° are merged.

Main lines, by angle (10° ≤ 2θ ≤ 90°):
2θ = 10.1°, d = 8.723 Å, intensity 44, hkl 0 0 2; 2θ = 12.9°, d = 6.876 Å, intensity 35, hkl 1 0 2; 2θ = 13.8°, d = 6.395 Å, intensity 100, hkl 1 1 1; 2θ = 25.9°, d = 3.434 Å, intensity 41, hkl 2 0 4; 2θ = 26.4°, d = 3.371 Å, intensity 44, hkl 2 2 1; 2θ = 26.8°, d = 3.330 Å, intensity 57, hkl 1 0 5; 2θ = 27.9°, d = 3.196 Å, intensity 47, hkl 2 2 2; 2θ = 30.2°, d = 2.959 Å, intensity 35, hkl 2 2 3; 2θ = 32.0°, d = 2.796 Å, intensity 37, hkl 3 2 1; 2θ = 41.4°, d = 2.180 Å, intensity 48, hkl 0 4 0

Structure:
```
data_Ba5Na2Ir
_chemical_formula_sum 'Ba20 Na8 Ir4'
_cell_length_a 11.174
_cell_length_b 8.719
_cell_length_c 17.445
_cell_angle_alpha 90.00
_cell_angle_beta 90.00
_cell_angle_gamma 90.00
_space_group_name_H-M_alt 'P n m a'
_space_group_IT_number 62
loop_
_space_group_symop_operation_xyz
'x,y,z'
'-x,-y,-z'
'-x+1/2,-y,z+1/2'
'x+1/2,y,-z+1/2'
'x+1/2,-y+1/2,-z+1/2'
'-x+1/2,y+1/2,z+1/2'
'-x,y+1/2,-z'
'x,-y+1/2,z'
loop_
_atom_site_label
_atom_site_type_symbol
_atom_site_fract_x
_atom_site_fract_y
_atom_site_fract_z
Ba1 Ba 0.000 0.000 0.000
Ba2 Ba 0.056 0.250 0.207
Ba3 Ba 0.146 0.503 0.607
Ba4 Ba 0.217 0.750 0.390
Na1 Na 0.047 0.750 0.197
Na2 Na 0.204 0.250 0.412
Ir1 Ir 0.184 0.250 0.055
```



(7)
This entry pairs a crystal structure of Ba5Na2Ir2 with its calculated X-ray powder pattern. Radiation: copper Kα. Structure: a crystal structure in Alexandria, relaxed with PBE.
Lines closer than 0.1° are merged.

Main lines, by angle (10° ≤ 2θ ≤ 90°):
2θ = 15.3°, d = 5.781 Å, intensity 40, hkl 1 1 1; 2θ = 26.7°, d = 3.344 Å, intensity 48, hkl 3 1 2; 2θ = 26.9°, d = 3.314 Å, intensity 100, hkl 4 2 0; 2θ = 28.9°, d = 3.089 Å, intensity 91, hkl 4 2 1; 2θ = 31.6°, d = 2.827 Å, intensity 90, hkl 5 1 2; 2θ = 33.0°, d = 2.715 Å, intensity 39, hkl 6 2 0; 2θ = 33.6°, d = 2.666 Å, intensity 87, hkl 1 3 1; 2θ = 34.7°, d = 2.588 Å, intensity 53, hkl 6 2 1; 2θ = 42.7°, d = 2.118 Å, intensity 30, hkl 10 0 0; 2θ = 51.6°, d = 1.771 Å, intensity 31, hkl 9 3 1

Structure:
```
data_Ba5Na2Ir2
_chemical_formula_sum 'Ba20 Na8 Ir8'
_cell_length_a 21.181
_cell_length_b 8.511
_cell_length_c 8.485
_cell_angle_alpha 90.00
_cell_angle_beta 90.00
_cell_angle_gamma 90.00
_space_group_name_H-M_alt 'C m c e'
_space_group_IT_number 64
_space_group_name_Hall '-C 2ac 2'
loop_
_atom_site_label
_atom_site_type_symbol
_atom_site_fract_x
_atom_site_fract_y
_atom_site_fract_z
Ba1 Ba 0.000 0.000 0.000
Ba2 Ba 0.101 0.178 0.323
Na1 Na 0.232 0.000 0.000
Ir1 Ir 0.000 0.109 0.609
```



(8)
This entry pairs a crystal structure of Ba3NaIrRuO9 with its calculated X-ray powder pattern. Radiation: copper Kα. Structure: a crystal structure in Alexandria, relaxed with PBE.
Lines closer than 0.1° are merged.

Main lines, by angle (10° ≤ 2θ ≤ 90°):
2θ = 17.1°, d = 5.171 Å, intensity 15, hkl 1 0 0; 2θ = 18.2°, d = 4.870 Å, intensity 24, hkl 1 0 1; 2θ = 25.2°, d = 3.529 Å, intensity 26, hkl 1 0 3; 2θ = 29.9°, d = 2.986 Å, intensity 100, hkl 1 1 0; 2θ = 30.1°, d = 2.966 Å, intensity 40, hkl 1 0 4; 2θ = 35.5°, d = 2.527 Å, intensity 27, hkl 1 0 5; 2θ = 39.5°, d = 2.279 Å, intensity 19, hkl 2 0 3; 2θ = 43.0°, d = 2.104 Å, intensity 27, hkl 2 0 4; 2θ = 53.1°, d = 1.724 Å, intensity 20, hkl 3 0 0; 2θ = 62.2°, d = 1.493 Å, intensity 19, hkl 2 2 0

Structure:
```
data_Ba3NaIrRuO9
_chemical_formula_sum 'Ba6 Na2 Ir2 Ru2 O18'
_cell_length_a 5.9711
_cell_length_b 5.9711
_cell_length_c 14.4826
_cell_angle_alpha 90.00
_cell_angle_beta 90.00
_cell_angle_gamma 120.00
_space_group_name_H-M_alt 'P 63 m c'
_space_group_IT_number 186
_space_group_name_Hall 'P 6c -2c'
loop_
_atom_site_label
_atom_site_type_symbol
_atom_site_fract_x
_atom_site_fract_y
_atom_site_fract_z
Ba1 Ba 0.0000 0.0000 0.0000
Ba2 Ba 0.3333 0.6667 0.1623
Ba3 Ba 0.3333 0.6667 0.8387
Na1 Na 0.0000 0.0000 0.2501
Ir1 Ir 0.3333 0.6667 0.4142
Ru1 Ru 0.3333 0.6667 0.5888
O1 O 0.0163 0.5081 0.4983
O2 O 0.1800 0.3600 0.3405
O3 O 0.1798 0.3595 0.6587
```